Entry 1:
Simulated powder diffractogram of La2TbPrTm for Cu Kα, 1.54184 Å, from a cell relaxed with GGA-PBE.
Peak positions follow from Bragg's law for the DFT cell and can differ from measured ones.

Structure:
```
La2TbPrTm
1.0
5.577 -4.762 0.000
5.577 4.762 0.000
0.000 0.000 6.886
La Tb Pr Tm
4 2 2 2
direct
0.249 0.249 0.000
0.249 0.249 0.500
0.751 0.751 0.000
0.751 0.751 0.500
0.090 0.910 0.750
0.910 0.090 0.250
0.399 0.601 0.750
0.601 0.399 0.250
0.248 0.752 0.250
0.752 0.248 0.750
```

Most intense lines, 15° ≤ 2θ ≤ 90°, low angle first:
- 5.577 Å, 2θ 15.9, I 126
- 3.622 Å, 2θ 24.6, I 272
- 2.930 Å, 2θ 30.5, I 778
- 2.790 Å, 2θ 32.1, I 1000
- 2.278 Å, 2θ 39.6, I 296
- 1.835 Å, 2θ 49.7, I 154
- 1.764 Å, 2θ 51.8, I 136
- 1.636 Å, 2θ 56.2, I 139
- 1.465 Å, 2θ 63.5, I 114
- 1.395 Å, 2θ 67.1, I 118


Entry 2:
Simulated powder diffractogram of LaTbPr2Y for Cu Kα, 1.54184 Å, from a cell relaxed with GGA-PBE.
Peak positions follow from Bragg's law for the DFT cell and can differ from measured ones.

Structure:
```
LaTbPr2Y
1.0
8.377 0.000 0.000
0.000 6.772 0.000
-0.443 0.000 6.303
La Tb Pr Y
2 2 4 2
direct
0.000 0.000 0.000
0.000 0.000 0.500
0.000 0.425 0.250
0.000 0.575 0.750
0.307 0.311 0.726
0.307 0.689 0.226
0.693 0.311 0.774
0.693 0.689 0.274
0.500 0.161 0.250
0.500 0.839 0.750
```

Most intense lines, 15° ≤ 2θ ≤ 90°, low angle first:
- 3.179 Å, 2θ 28.1, I 693
- 3.151 Å, 2θ 28.3, I 487
- 3.138 Å, 2θ 28.4, I 762
- 3.021 Å, 2θ 29.6, I 1000
- 2.857 Å, 2θ 31.3, I 560
- 2.839 Å, 2θ 31.5, I 472
- 2.783 Å, 2θ 32.2, I 785
- 2.652 Å, 2θ 33.8, I 429
- 2.631 Å, 2θ 34.1, I 484
- 2.061 Å, 2θ 43.9, I 375


Entry 3:
Simulated powder diffractogram of LaTbPr5Y2 for Cu Kα, 1.54184 Å, from a cell relaxed with GGA-PBE.
Peak positions follow from Bragg's law for the DFT cell and can differ from measured ones.

Structure:
```
LaTbPr5Y2
1.0
-4.769 4.769 7.131
4.769 -4.769 7.131
4.769 4.769 -7.131
La Tb Pr Y
2 2 10 4
direct
0.250 0.250 0.000
0.750 0.750 0.000
0.250 0.750 0.500
0.750 0.250 0.500
0.000 0.000 0.000
0.070 0.570 0.905
0.165 0.070 0.500
0.335 0.835 0.905
0.430 0.335 0.500
0.500 0.500 0.000
0.570 0.665 0.500
0.665 0.165 0.095
0.835 0.930 0.500
0.930 0.430 0.095
0.109 0.391 0.500
0.391 0.891 0.283
0.609 0.109 0.717
0.891 0.609 0.500
```

Most intense lines, 15° ≤ 2θ ≤ 90°, low angle first:
- 3.372 Å, 2θ 26.4, I 614
- 3.175 Å, 2θ 28.1, I 389
- 3.016 Å, 2θ 29.6, I 133
- 2.856 Å, 2θ 31.3, I 1000
- 2.601 Å, 2θ 34.5, I 151
- 2.371 Å, 2θ 37.9, I 105
- 2.283 Å, 2θ 39.5, I 181
- 2.080 Å, 2θ 43.5, I 120
- 1.830 Å, 2θ 49.8, I 205
- 1.576 Å, 2θ 58.6, I 124


Entry 4:
Simulated powder diffractogram of LaTb2PrY2 for Cu Kα, 1.54184 Å, from a cell relaxed with GGA-PBE.
Peak positions follow from Bragg's law for the DFT cell and can differ from measured ones.

Structure:
```
LaTb2PrY2
1.0
6.691 0.000 0.000
0.000 18.050 0.000
0.000 0.000 3.416
La Tb Pr Y
2 4 2 4
direct
0.000 0.000 0.000
0.500 0.500 0.500
0.226 0.183 0.000
0.274 0.683 0.500
0.726 0.317 0.500
0.774 0.817 0.000
0.000 0.500 0.000
0.500 0.000 0.500
0.224 0.348 0.500
0.276 0.848 0.000
0.724 0.152 0.000
0.776 0.652 0.500
```

Most intense lines, 15° ≤ 2θ ≤ 90°, low angle first:
- 3.354 Å, 2θ 26.6, I 297
- 3.137 Å, 2θ 28.5, I 1000
- 3.042 Å, 2θ 29.4, I 280
- 3.007 Å, 2θ 29.7, I 862
- 2.971 Å, 2θ 30.1, I 696
- 2.883 Å, 2θ 31.0, I 369
- 2.687 Å, 2θ 33.3, I 460
- 2.523 Å, 2θ 35.6, I 338
- 2.221 Å, 2θ 40.6, I 532
- 1.674 Å, 2θ 54.9, I 286


Entry 5:
Simulated powder diffractogram of LaTb5Pr2Y for Cu Kα, 1.54184 Å, from a cell relaxed with GGA-PBE.
Peak positions follow from Bragg's law for the DFT cell and can differ from measured ones.

Structure:
```
LaTb5Pr2Y
1.0
-4.401 4.401 7.884
4.401 -4.401 7.884
4.401 4.401 -7.884
La Tb Pr Y
2 10 4 2
direct
0.250 0.250 0.000
0.750 0.750 0.000
0.000 0.000 0.000
0.073 0.573 0.921
0.152 0.073 0.500
0.348 0.848 0.921
0.427 0.348 0.500
0.500 0.500 0.000
0.573 0.652 0.500
0.652 0.152 0.079
0.848 0.927 0.500
0.927 0.427 0.079
0.118 0.382 0.500
0.382 0.882 0.264
0.618 0.118 0.736
0.882 0.618 0.500
0.250 0.750 0.500
0.750 0.250 0.500
```

Most intense lines, 15° ≤ 2θ ≤ 90°, low angle first:
- 3.150 Å, 2θ 28.3, I 528
- 3.112 Å, 2θ 28.7, I 509
- 2.936 Å, 2θ 30.4, I 1000
- 2.783 Å, 2θ 32.2, I 186
- 2.626 Å, 2θ 34.1, I 136
- 2.412 Å, 2θ 37.3, I 179
- 2.117 Å, 2θ 42.7, I 194
- 1.971 Å, 2θ 46.1, I 127
- 1.761 Å, 2θ 51.9, I 215
- 1.665 Å, 2θ 55.2, I 129


Entry 6:
Simulated powder diffractogram of LaPr2Tc for Cu Kα, 1.54184 Å, from a cell relaxed with GGA-PBE.
Peak positions follow from Bragg's law for the DFT cell and can differ from measured ones.

Structure:
```
LaPr2Tc
1.0
7.422 0.000 0.000
0.000 9.893 0.000
0.000 0.000 6.688
La Pr Tc
4 8 4
direct
0.062 0.250 0.134
0.438 0.750 0.634
0.562 0.250 0.366
0.938 0.750 0.866
0.174 0.067 0.668
0.174 0.433 0.668
0.326 0.567 0.168
0.326 0.933 0.168
0.674 0.067 0.832
0.674 0.433 0.832
0.826 0.567 0.332
0.826 0.933 0.332
0.125 0.750 0.477
0.375 0.250 0.977
0.625 0.750 0.023
0.875 0.250 0.523
```

Most intense lines, 15° ≤ 2θ ≤ 90°, low angle first:
- 3.083 Å, 2θ 29.0, I 366
- 3.049 Å, 2θ 29.3, I 642
- 2.968 Å, 2θ 30.1, I 417
- 2.958 Å, 2θ 30.2, I 1000
- 2.914 Å, 2θ 30.7, I 686
- 2.748 Å, 2θ 32.6, I 794
- 2.713 Å, 2θ 33.0, I 750
- 2.465 Å, 2θ 36.4, I 297
- 1.960 Å, 2θ 46.3, I 384
- 1.617 Å, 2θ 57.0, I 349


Entry 7:
Simulated powder diffractogram of La4PrTe5 for Cu Kα, 1.54184 Å, from a cell relaxed with GGA-PBE.
Peak positions follow from Bragg's law for the DFT cell and can differ from measured ones.

Structure:
```
La4PrTe5
1.0
-2.285 2.285 16.184
2.285 -2.285 16.184
2.285 2.285 -16.184
La Pr Te
4 1 5
direct
0.099 0.099 0.000
0.299 0.299 0.000
0.701 0.701 0.000
0.901 0.901 0.000
0.500 0.500 0.000
0.000 0.000 0.000
0.199 0.199 0.000
0.400 0.400 0.000
0.600 0.600 0.000
0.801 0.801 0.000
```

Most intense lines, 15° ≤ 2θ ≤ 90°, low angle first:
- 3.733 Å, 2θ 23.8, I 5
- 3.233 Å, 2θ 27.6, I 1000
- 2.286 Å, 2θ 39.4, I 767
- 1.867 Å, 2θ 48.8, I 276
- 1.618 Å, 2θ 56.9, I 43
- 1.616 Å, 2θ 57.0, I 87
- 1.446 Å, 2θ 64.4, I 356
- 1.320 Å, 2θ 71.5, I 261
- 1.143 Å, 2θ 84.8, I 83


Entry 8:
Simulated powder diffractogram of La4Pr3Te8 for Cu Kα, 1.54184 Å, from a cell relaxed with GGA-PBE.
Peak positions follow from Bragg's law for the DFT cell and can differ from measured ones.

Structure:
```
La4Pr3Te8
1.0
6.427 -6.429 0.000
6.427 6.429 0.000
-6.391 0.000 6.429
La Pr Te
4 3 8
direct
0.000 0.000 0.000
0.000 0.500 0.000
0.500 0.000 0.000
0.500 0.500 0.500
0.000 0.500 0.500
0.500 0.000 0.500
0.500 0.500 0.000
0.245 0.245 0.501
0.245 0.755 0.500
0.246 0.246 0.990
0.251 0.749 0.000
0.749 0.251 0.000
0.754 0.754 0.010
0.755 0.245 0.500
0.755 0.755 0.499
```

Most intense lines, 15° ≤ 2θ ≤ 90°, low angle first:
- 3.214 Å, 2θ 27.8, I 1000
- 2.279 Å, 2θ 39.5, I 129
- 2.273 Å, 2θ 39.7, I 510
- 2.266 Å, 2θ 39.8, I 126
- 1.859 Å, 2θ 49.0, I 138
- 1.852 Å, 2θ 49.2, I 136
- 1.607 Å, 2θ 57.3, I 129
- 1.437 Å, 2θ 64.9, I 235
- 1.314 Å, 2θ 71.8, I 130
- 1.310 Å, 2θ 72.1, I 128


Entry 9:
Simulated powder diffractogram of LaPr5Te4 for Cu Kα, 1.54184 Å, from a cell relaxed with GGA-PBE.
Peak positions follow from Bragg's law for the DFT cell and can differ from measured ones.

Structure:
```
LaPr5Te4
1.0
9.484 0.000 0.000
0.000 10.260 0.000
0.000 0.000 7.858
La Pr Te
2 10 8
direct
0.250 0.250 0.146
0.750 0.750 0.854
0.046 0.056 0.756
0.046 0.444 0.756
0.250 0.750 0.776
0.454 0.056 0.756
0.454 0.444 0.756
0.546 0.556 0.244
0.546 0.944 0.244
0.750 0.250 0.224
0.954 0.556 0.244
0.954 0.944 0.244
0.021 0.250 0.441
0.250 0.544 0.061
0.250 0.956 0.061
0.479 0.250 0.441
0.521 0.750 0.559
0.750 0.044 0.939
0.750 0.456 0.939
0.979 0.750 0.559
```

Most intense lines, 15° ≤ 2θ ≤ 90°, low angle first:
- 4.296 Å, 2θ 20.7, I 282
- 4.060 Å, 2θ 21.9, I 629
- 3.775 Å, 2θ 23.6, I 324
- 3.136 Å, 2θ 28.5, I 900
- 2.606 Å, 2θ 34.4, I 1000
- 2.546 Å, 2θ 35.3, I 282
- 2.525 Å, 2θ 35.6, I 216
- 2.371 Å, 2θ 37.9, I 244
- 2.237 Å, 2θ 40.3, I 227
- 1.529 Å, 2θ 60.6, I 428


Entry 10:
Simulated powder diffractogram of La3Pr4Te8 for Cu Kα, 1.54184 Å, from a cell relaxed with GGA-PBE.
Peak positions follow from Bragg's law for the DFT cell and can differ from measured ones.

Structure:
```
La3Pr4Te8
1.0
6.420 -6.421 0.000
6.420 6.421 0.000
-6.385 0.000 6.422
La Pr Te
3 4 8
direct
0.000 0.000 0.000
0.000 0.500 0.000
0.500 0.000 0.000
0.000 0.500 0.500
0.500 0.000 0.500
0.500 0.500 0.000
0.500 0.500 0.500
0.246 0.246 0.501
0.246 0.754 0.500
0.247 0.247 0.992
0.251 0.749 0.000
0.749 0.251 0.000
0.753 0.753 0.008
0.754 0.246 0.500
0.754 0.754 0.499
```

Most intense lines, 15° ≤ 2θ ≤ 90°, low angle first:
- 3.210 Å, 2θ 27.8, I 1000
- 2.276 Å, 2θ 39.6, I 129
- 2.270 Å, 2θ 39.7, I 510
- 2.264 Å, 2θ 39.8, I 126
- 1.857 Å, 2θ 49.1, I 138
- 1.850 Å, 2θ 49.2, I 136
- 1.605 Å, 2θ 57.4, I 129
- 1.436 Å, 2θ 64.9, I 235
- 1.313 Å, 2θ 71.9, I 130
- 1.309 Å, 2θ 72.2, I 129


Entry 11:
Simulated powder diffractogram of La2PrTe4 for Cu Kα, 1.54184 Å, from a cell relaxed with GGA-PBE.
Peak positions follow from Bragg's law for the DFT cell and can differ from measured ones.

Structure:
```
La2PrTe4
1.0
-4.561 4.576 6.370
4.561 -4.576 6.370
4.561 4.576 -6.370
La Pr Te
4 2 8
direct
0.000 0.000 0.000
0.500 0.000 0.000
0.500 0.000 0.500
0.500 0.500 0.500
0.000 0.000 0.500
0.000 0.500 0.000
0.241 0.743 0.498
0.249 0.250 0.500
0.249 0.749 0.000
0.256 0.257 0.998
0.744 0.743 0.002
0.751 0.251 0.000
0.751 0.750 0.500
0.759 0.257 0.502
```

Most intense lines, 15° ≤ 2θ ≤ 90°, low angle first:
- 3.230 Å, 2θ 27.6, I 1000
- 3.185 Å, 2θ 28.0, I 477
- 2.288 Å, 2θ 39.4, I 193
- 2.281 Å, 2θ 39.5, I 191
- 2.268 Å, 2θ 39.7, I 744
- 1.858 Å, 2θ 49.0, I 203
- 1.854 Å, 2θ 49.1, I 202
- 1.615 Å, 2θ 57.0, I 130
- 1.441 Å, 2θ 64.7, I 175
- 1.428 Å, 2θ 65.3, I 165


Entry 12:
Simulated powder diffractogram of La4PrTe7 for Cu Kα, 1.54184 Å, from a cell relaxed with GGA-PBE.
Peak positions follow from Bragg's law for the DFT cell and can differ from measured ones.

Structure:
```
La4PrTe7
1.0
7.517 -2.227 0.000
7.517 2.227 0.000
-3.457 0.000 13.158
La Pr Te
4 1 7
direct
0.000 0.000 0.000
0.186 0.186 0.764
0.586 0.586 0.385
0.886 0.886 0.574
0.771 0.771 0.152
0.147 0.147 0.226
0.225 0.225 0.525
0.384 0.384 0.074
0.547 0.547 0.624
0.626 0.626 0.925
0.846 0.846 0.791
0.925 0.925 0.357
```

Most intense lines, 15° ≤ 2θ ≤ 90°, low angle first:
- 3.394 Å, 2θ 26.3, I 621
- 3.332 Å, 2θ 26.8, I 484
- 3.319 Å, 2θ 26.9, I 821
- 3.279 Å, 2θ 27.2, I 495
- 3.160 Å, 2θ 28.2, I 1000
- 3.061 Å, 2θ 29.2, I 728
- 2.874 Å, 2θ 31.1, I 474
- 2.703 Å, 2θ 33.1, I 490
- 2.514 Å, 2θ 35.7, I 507
- 2.227 Å, 2θ 40.5, I 659


Copy entry 5 word for word.
Simulated powder diffractogram of LaTb5Pr2Y for Cu Kα, 1.54184 Å, from a cell relaxed with GGA-PBE.
Peak positions follow from Bragg's law for the DFT cell and can differ from measured ones.

Structure:
```
LaTb5Pr2Y
1.0
-4.401 4.401 7.884
4.401 -4.401 7.884
4.401 4.401 -7.884
La Tb Pr Y
2 10 4 2
direct
0.250 0.250 0.000
0.750 0.750 0.000
0.000 0.000 0.000
0.073 0.573 0.921
0.152 0.073 0.500
0.348 0.848 0.921
0.427 0.348 0.500
0.500 0.500 0.000
0.573 0.652 0.500
0.652 0.152 0.079
0.848 0.927 0.500
0.927 0.427 0.079
0.118 0.382 0.500
0.382 0.882 0.264
0.618 0.118 0.736
0.882 0.618 0.500
0.250 0.750 0.500
0.750 0.250 0.500
```

Most intense lines, 15° ≤ 2θ ≤ 90°, low angle first:
- 3.150 Å, 2θ 28.3, I 528
- 3.112 Å, 2θ 28.7, I 509
- 2.936 Å, 2θ 30.4, I 1000
- 2.783 Å, 2θ 32.2, I 186
- 2.626 Å, 2θ 34.1, I 136
- 2.412 Å, 2θ 37.3, I 179
- 2.117 Å, 2θ 42.7, I 194
- 1.971 Å, 2θ 46.1, I 127
- 1.761 Å, 2θ 51.9, I 215
- 1.665 Å, 2θ 55.2, I 129